The following is a calculated X-ray powder pattern of Hg5H2I3. It was derived from a DFT-relaxed cell (PBE, Alexandria), using Cu Ka.
No peak broadening, texture or thermal motion is included.

Structure:
```
data_Hg5H2I3
_space_group_name_H-M_alt 'P -1'
_space_group_IT_number 2
_space_group_name_Hall '-P 1'
_cell_length_a 7.3301
_cell_length_b 8.6095
_cell_length_c 11.5577
_cell_angle_alpha 83.99
_cell_angle_beta 72.96
_cell_angle_gamma 68.10
loop_
_atom_site_label
_atom_site_type_symbol
_atom_site_fract_x
_atom_site_fract_y
_atom_site_fract_z
Hg1 Hg 0.0396 0.0177 0.1459
Hg2 Hg 0.0658 0.7181 0.0287
Hg3 Hg 0.0766 0.8683 0.3993
Hg4 Hg 0.1897 0.5788 0.6398
Hg5 Hg 0.2048 0.5482 0.2496
H1 H 0.0662 0.7629 0.7125
H2 H 0.3693 0.2744 0.2035
I1 I 0.3278 0.3950 0.8854
I2 I 0.3764 0.2960 0.5039
I3 I 0.4899 0.0658 0.1815
```

Top 6 peaks for 15° ≤ 2θ ≤ 90°, low angle first:
| hkl | 2θ (°) | I_rel |
| --- | --- | --- |
| 1 0 3 | 24.24 | 32 |
| 2 1 0 | 25.45 | 100 |
| 0 2 2 | 27.63 | 75 |
| 1 -1 3 | 28.70 | 52 |
| 2 3 2 | 35.30 | 62 |
| -2 1 2 | 40.37 | 20 |